The following is a computed powder diffractogram of NaSr3O. It was derived from the PBE geometry in Alexandria, using Cu Kα (λ = 1.5418 Å).
Kinematic intensities with the Lorentz-polarization factor, no thermal factor.

Structure:
```
data_NaSr3O
_chemical_formula_sum 'Na2 Sr6 O2'
_cell_length_a 7.602
_cell_length_b 7.815
_cell_length_c 7.837
_cell_angle_alpha 94.93
_cell_angle_beta 98.59
_cell_angle_gamma 115.74
_symmetry_space_group_name_H-M 'P -1'
_symmetry_Int_Tables_number 2
loop_
_symmetry_equiv_pos_as_xyz
'x,y,z'
'-x,-y,-z'
loop_
_atom_site_label
_atom_site_fract_x
_atom_site_fract_y
_atom_site_fract_z
Na1 0.098 0.374 0.368
Sr1 0.084 0.805 0.144
Sr2 0.377 0.104 0.619
Sr3 0.474 0.694 0.812
O1 0.393 0.030 0.318
```

Top 10 peaks for 10° ≤ 2θ ≤ 90°, by angle:
hkl 0 1 0, 12.8°, d = 6.938 Å, rel. 20.8
hkl 1 0 0, 13.2°, d = 6.698 Å, rel. 18.2
hkl -1 1 1, 17.5°, d = 5.068 Å, rel. 19.6
hkl 0 2 -1, 26.4°, d = 3.380 Å, rel. 58.9
hkl -1 1 2, 26.6°, d = 3.356 Å, rel. 60.9
hkl 2 0 -1, 26.8°, d = 3.332 Å, rel. 29.2
hkl 2 -2 0, 27.4°, d = 3.258 Å, rel. 100.0
hkl 1 -1 2, 27.6°, d = 3.234 Å, rel. 42.3
hkl -1 3 1, 38.1°, d = 2.365 Å, rel. 18.6
hkl 3 -1 1, 40.1°, d = 2.249 Å, rel. 19.8